[1]
Computed powder diffractogram of ScBN for Cu Kα, 1.54184 Å, from a DFT-relaxed cell (GGA-PBE, Alexandria).
Kinematic intensities with the Lorentz-polarization factor, no thermal factor.

Peak list (6 most intense, 10 to 80 degrees two-theta, by intensity)
d = 3.096 Å, intensity 100, hkl 1 0 1
d = 1.818 Å, intensity 61, hkl 1 1 0
d = 2.315 Å, intensity 60, hkl 0 1 5
d = 2.845 Å, intensity 36, hkl 0 0 6
d = 1.532 Å, intensity 27, hkl 1 1 6
d = 2.534 Å, intensity 23, hkl 1 0 4

Crystal structure
```
data_ScBN
_symmetry_space_group_name_H-M 'R -3 m'
_symmetry_Int_Tables_number 166
_symmetry_space_group_name_Hall '-R 3 2"'
_cell_length_a 3.6354
_cell_length_b 3.6354
_cell_length_c 17.0729
_cell_angle_alpha 90.00
_cell_angle_beta 90.00
_cell_angle_gamma 120.00
loop_
_atom_site_label
_atom_site_type_symbol
_atom_site_fract_x
_atom_site_fract_y
_atom_site_fract_z
_atom_site_occupancy
Sc1 Sc 0.0000 0.0000 0.0964 1
B1 B 0.0000 0.0000 0.3142 1
N1 N 0.0000 0.0000 0.2255 1
```

***

[2]
Computed powder diffractogram of ScB3N3 for Cu Kα, 1.54184 Å, from a DFT-relaxed cell (GGA-PBE, Alexandria).
Kinematic intensities with the Lorentz-polarization factor, no thermal factor.

Peak list (6 most intense, 10 to 80 degrees two-theta, by intensity)
d = 1.915 Å, intensity 100, hkl 2 1 1
d = 2.345 Å, intensity 51, hkl 2 0 0
d = 1.253 Å, intensity 41, hkl 3 2 1
d = 3.316 Å, intensity 30, hkl 1 1 0
d = 1.483 Å, intensity 7, hkl 3 1 0
d = 1.658 Å, intensity 5, hkl 2 2 0

Crystal structure
```
data_ScB3N3
_symmetry_space_group_name_H-M 'P m -3 n'
_symmetry_Int_Tables_number 223
_symmetry_space_group_name_Hall '-P 4n 2 3'
_cell_length_a 4.6898
_cell_length_b 4.6898
_cell_length_c 4.6898
_cell_angle_alpha 90.00
_cell_angle_beta 90.00
_cell_angle_gamma 90.00
loop_
_atom_site_label
_atom_site_type_symbol
_atom_site_fract_x
_atom_site_fract_y
_atom_site_fract_z
_atom_site_occupancy
Sc1 Sc 0.0000 0.0000 0.0000 1
B1 B 0.0000 0.2500 0.5000 1
N1 N 0.0000 0.5000 0.2500 1
```

***

[3]
Computed powder diffractogram of SmBN2 for Cu Kα, 1.54184 Å, from a DFT-relaxed cell (GGA-PBE, Alexandria).
Kinematic intensities with the Lorentz-polarization factor, no thermal factor.

Peak list (6 most intense, 10 to 80 degrees two-theta, by intensity)
d = 2.867 Å, intensity 100, hkl 2 0 2
d = 2.666 Å, intensity 80, hkl 1 3 1
d = 6.022 Å, intensity 67, hkl 1 1 0
d = 3.011 Å, intensity 51, hkl 2 2 0
d = 1.807 Å, intensity 39, hkl 5 1 1
d = 3.419 Å, intensity 31, hkl 2 1 1

Crystal structure
```
data_SmBN2
_symmetry_space_group_name_H-M 'R -3 c'
_symmetry_Int_Tables_number 167
_symmetry_space_group_name_Hall '-R 3 2"c'
_cell_length_a 12.0446
_cell_length_b 12.0446
_cell_length_c 6.8640
_cell_angle_alpha 90.00
_cell_angle_beta 90.00
_cell_angle_gamma 120.00
loop_
_atom_site_label
_atom_site_type_symbol
_atom_site_fract_x
_atom_site_fract_y
_atom_site_fract_z
_atom_site_occupancy
Sm1 Sm 0.0000 0.4542 0.2500 1
B1 B 0.0000 0.1205 0.2500 1
N1 N 0.0000 0.1236 0.7500 1
N2 N 0.0000 0.2431 0.2500 1
```

***

- Which formula does entry 3 have?
  SmBN2

***

What did the third record say?
Computed powder diffractogram of SmBN2 for Cu Kα, 1.54184 Å, from a DFT-relaxed cell (GGA-PBE, Alexandria).
Kinematic intensities with the Lorentz-polarization factor, no thermal factor.

Peak list (6 most intense, 10 to 80 degrees two-theta, by intensity)
d = 2.867 Å, intensity 100, hkl 2 0 2
d = 2.666 Å, intensity 80, hkl 1 3 1
d = 6.022 Å, intensity 67, hkl 1 1 0
d = 3.011 Å, intensity 51, hkl 2 2 0
d = 1.807 Å, intensity 39, hkl 5 1 1
d = 3.419 Å, intensity 31, hkl 2 1 1

Crystal structure
```
data_SmBN2
_symmetry_space_group_name_H-M 'R -3 c'
_symmetry_Int_Tables_number 167
_symmetry_space_group_name_Hall '-R 3 2"c'
_cell_length_a 12.0446
_cell_length_b 12.0446
_cell_length_c 6.8640
_cell_angle_alpha 90.00
_cell_angle_beta 90.00
_cell_angle_gamma 120.00
loop_
_atom_site_label
_atom_site_type_symbol
_atom_site_fract_x
_atom_site_fract_y
_atom_site_fract_z
_atom_site_occupancy
Sm1 Sm 0.0000 0.4542 0.2500 1
B1 B 0.0000 0.1205 0.2500 1
N1 N 0.0000 0.1236 0.7500 1
N2 N 0.0000 0.2431 0.2500 1
```